LiZrHg3Te4: computed PXRD pattern (a wavelength of 1.5418 Å), based on a structure optimized by DFT (GGA-PBE).
Neutral-atom scattering factors, no anomalous dispersion.

a b c (Å): 7.152 8.701 10.170
angles (deg): 90.00 98.91 90.00
Positions (direct):
Li1 0.122 0.250 0.325
Li2 0.878 0.750 0.675
Zr1 0.139 0.750 0.190
Zr2 0.861 0.250 0.810
Hg1 0.221 0.080 0.941
Hg2 0.221 0.420 0.941
Hg3 0.406 0.250 0.673
Hg4 0.594 0.750 0.327
Hg5 0.779 0.580 0.059
Hg6 0.779 0.920 0.059
Te1 0.029 0.250 0.576
Te2 0.151 0.750 0.902
Te3 0.368 0.012 0.245
Te4 0.368 0.488 0.245
Te5 0.632 0.512 0.755
Te6 0.632 0.988 0.755
Te7 0.849 0.250 0.098
Te8 0.971 0.750 0.424

The 10 most intense peaks (10° ≤ 2θ ≤ 90°), by intensity:
(0 1 1), 2θ 13.46, intensity 100
(1 0 -3), 2θ 27.65, intensity 83
(1 3 -1), 2θ 34.08, intensity 61
(2 0 -1), 2θ 25.40, intensity 59
(1 0 2), 2θ 23.26, intensity 52
(0 3 2), 2θ 35.75, intensity 38
(1 0 -4), 2θ 36.05, intensity 37
(1 2 3), 2θ 37.62, intensity 34
(0 4 0), 2θ 41.51, intensity 30
(2 0 -2), 2θ 28.55, intensity 30